Structure and simulated XRD peak list of Sr8Tl3CrCu4O20 (a DFT-relaxed cell (GGA+U, Alexandria); copper Kα).
No peak broadening, texture or thermal motion is included.

Atomic structure:
```
Sr8Tl3CrCu4O20
1.0
7.6107 -8.9956 0.0000
7.6107 8.9956 0.0000
0.0000 0.0000 3.7037
Sr Tl Cr Cu O
8 3 1 4 20
Direct
0.0259 0.7255 0.0000
0.2328 0.5148 0.0000
0.2745 0.9741 0.0000
0.4852 0.7672 0.0000
0.5148 0.2328 0.0000
0.7255 0.0259 0.0000
0.7672 0.4852 0.0000
0.9741 0.2745 0.0000
0.0000 0.0000 0.5000
0.2287 0.2287 0.5000
0.7713 0.7713 0.5000
0.5000 0.5000 0.5000
0.0000 0.5000 0.5000
0.2503 0.7497 0.5000
0.5000 0.0000 0.5000
0.7497 0.2503 0.5000
0.0000 0.5000 0.0000
0.1162 0.8838 0.5000
0.1266 0.1266 0.0000
0.1303 0.6206 0.5000
0.1362 0.3645 0.5000
0.2611 0.7389 0.0000
0.3645 0.1362 0.5000
0.3794 0.8697 0.5000
0.4029 0.5971 0.5000
0.4160 0.4160 0.0000
0.5000 0.0000 0.0000
0.5840 0.5840 0.0000
0.5971 0.4029 0.5000
0.6206 0.1303 0.5000
0.6355 0.8638 0.5000
0.7389 0.2611 0.0000
0.8638 0.6355 0.5000
0.8697 0.3794 0.5000
0.8734 0.8734 0.0000
0.8838 0.1162 0.5000
```

Peak list (12 most intense, 2θ from 5° to 70°, in order of falling intensity)
2θ = 33.77°, d 2.654, rel. 100; 2θ = 31.29°, d 2.859, rel. 83; 2θ = 30.78°, d 2.905, rel. 82; 2θ = 7.61°, d 11.620, rel. 32; 2θ = 53.40°, d 1.716, rel. 31; 2θ = 40.09°, d 2.249, rel. 28; 2θ = 45.65°, d 1.987, rel. 27; 2θ = 59.17°, d 1.562, rel. 26; 2θ = 49.20°, d 1.852, rel. 24; 2θ = 58.25°, d 1.584, rel. 23; 2θ = 29.78°, d 3.000, rel. 22; 2θ = 25.42°, d 3.504, rel. 22